Theoretical PXRD pattern of La3Co4P4 for Cu Kα X-rays, from DFT lattice parameters and positions (GGA-PBE).
Intensities are scaled so that the largest is 100.

Largest 6 diffraction maxima, low angle first, 10° ≤ 2θ ≤ 90°:
d/Å, I (rel.)
3.535, 24
2.568, 41
2.550, 100
2.029, 23
1.987, 20
1.572, 18

Structural model:
Lattice parameters (Å, degrees): 11.9492 11.9492 11.9492 160.85 160.45 27.49
Atoms (fractional coordinates):
La: 0.0000 0.0000 0.0000
La: 0.1481 0.6481 0.5000
La: 0.8519 0.3519 0.5000
Co: 0.2487 0.2487 0.0000
Co: 0.4020 0.9020 0.5000
Co: 0.5980 0.0980 0.5000
Co: 0.7513 0.7513 0.0000
P: 0.3015 0.8015 0.5000
P: 0.4463 0.4463 0.0000
P: 0.5537 0.5537 0.0000
P: 0.6985 0.1985 0.5000


Theoretical PXRD pattern of La2GdMg3Ag3 for Cu Kα X-rays, from DFT lattice parameters and positions (GGA-PBE).
Intensities are scaled so that the largest is 100.

Largest 6 diffraction maxima, low angle first, 10° ≤ 2θ ≤ 90°:
d/Å, I (rel.)
3.909, 32
3.385, 22
2.901, 76
2.667, 100
2.255, 18
2.163, 23

Structural model:
Lattice parameters (Å, degrees): 4.3265 7.8271 7.8271 120.20 90.00 90.00
Atoms (fractional coordinates):
La: 0.0000 0.2079 0.7921
La: 0.0000 0.7921 0.2079
Gd: 0.0000 0.3760 0.3760
Mg: 0.5000 0.0347 0.0347
Mg: 0.5000 0.5513 0.7868
Mg: 0.5000 0.7868 0.5513
Ag: 0.0000 0.7862 0.7862
Ag: 0.5000 0.1314 0.4563
Ag: 0.5000 0.4563 0.1314